(1)
# Ca2HBr2
Simulated X-ray powder pattern, CuKα. Input: DFT lattice parameters and positions (PBE).
No peak broadening, texture or thermal motion is included.

Largest 8 diffraction maxima, in order of falling intensity, 2θ = 15–90°:
- 19.2°, d = 4.614 Å, I = 100
- 27.3°, d = 3.262 Å, I = 41
- 23.0°, d = 3.868 Å, I = 27
- 43.9°, d = 2.063 Å, I = 21
- 43.0°, d = 2.104 Å, I = 19
- 39.0°, d = 2.307 Å, I = 15
- 31.8°, d = 2.812 Å, I = 15
- 47.5°, d = 1.915 Å, I = 14

Crystal structure
```
data_Ca2HBr2
_chemical_formula_sum 'Ca2 H1 Br2'
_space_group_name_H-M_alt 'P 4/m m m'
_space_group_IT_number 123
_space_group_name_Hall '-P 4 2'
_cell_length_a 4.614
_cell_length_b 4.614
_cell_length_c 14.188
_cell_angle_alpha 90.00
_cell_angle_beta 90.00
_cell_angle_gamma 90.00
loop_
_atom_site_label
_atom_site_type_symbol
_atom_site_fract_x
_atom_site_fract_y
_atom_site_fract_z
Ca1 Ca 0.000 0.000 0.148
H1 H 0.000 0.000 0.000
Br1 Br 0.000 0.000 0.327
```



(2)
# CaHBr
Simulated X-ray powder pattern, CuKα. Input: DFT lattice parameters and positions (PBE).
No peak broadening, texture or thermal motion is included.

Largest 8 diffraction maxima, in order of falling intensity, 2θ = 15–90°:
- 31.6°, d = 2.828 Å, I = 100
- 32.9°, d = 2.722 Å, I = 65
- 58.0°, d = 1.591 Å, I = 33
- 49.7°, d = 1.833 Å, I = 31
- 21.3°, d = 4.169 Å, I = 30
- 25.5°, d = 3.495 Å, I = 25
- 39.5°, d = 2.279 Å, I = 25
- 47.2°, d = 1.925 Å, I = 23

Crystal structure
```
data_CaHBr
_chemical_formula_sum 'Ca2 H2 Br2'
_space_group_name_H-M_alt 'P 4/n m m'
_space_group_IT_number 129
_cell_length_a 3.849
_cell_length_b 3.849
_cell_length_c 8.338
_cell_angle_alpha 90.00
_cell_angle_beta 90.00
_cell_angle_gamma 90.00
loop_
_space_group_symop_operation_xyz
'x,y,z'
'-x,-y,-z'
'-y+1/2,x,z'
'y+1/2,-x,-z'
'-x+1/2,-y+1/2,z'
'x+1/2,y+1/2,-z'
'y,-x+1/2,z'
'-y,x+1/2,-z'
'x+1/2,-y,-z'
'-x+1/2,y,z'
'-y,-x,-z'
'y,x,z'
'-x,y+1/2,-z'
'x,-y+1/2,z'
'y+1/2,x+1/2,-z'
'-y+1/2,-x+1/2,z'
loop_
_atom_site_label
_atom_site_type_symbol
_atom_site_fract_x
_atom_site_fract_y
_atom_site_fract_z
Ca1 Ca 0.250 0.250 0.156
H1 H 0.250 0.750 0.000
Br1 Br 0.250 0.250 0.681
```



(3)
# CaH12Br2O6
Simulated X-ray powder pattern, CuKα. Input: DFT lattice parameters and positions (PBE).
No peak broadening, texture or thermal motion is included.

Largest 8 diffraction maxima, in order of falling intensity, 2θ = 15–90°:
- 21.8°, d = 4.075 Å, I = 100
- 25.2°, d = 3.529 Å, I = 70
- 40.4°, d = 2.232 Å, I = 59
- 33.6°, d = 2.668 Å, I = 49
- 31.0°, d = 2.881 Å, I = 48
- 38.3°, d = 2.352 Å, I = 42
- 51.8°, d = 1.764 Å, I = 33
- 60.1°, d = 1.540 Å, I = 24

Crystal structure
```
data_CaH12Br2O6
_chemical_formula_sum 'Ca1 H12 Br2 O6'
_space_group_name_H-M_alt 'P 3 2 1'
_space_group_IT_number 150
_cell_length_a 8.1493
_cell_length_b 8.1493
_cell_length_c 4.0754
_cell_angle_alpha 90.00
_cell_angle_beta 90.00
_cell_angle_gamma 120.00
loop_
_space_group_symop_operation_xyz
'x,y,z'
'-y,x-y,z'
'-x+y,-x,z'
'y,x,-z'
'x-y,-y,-z'
'-x,-x+y,-z'
loop_
_atom_site_label
_atom_site_type_symbol
_atom_site_fract_x
_atom_site_fract_y
_atom_site_fract_z
Ca1 Ca 0.0000 0.0000 0.0000
H1 H 0.0988 0.4227 0.0906
H2 H 0.1101 0.7746 0.5177
Br1 Br 0.3333 0.6667 0.4104
O1 O 0.0000 0.3006 0.0000
O2 O 0.0000 0.7937 0.5000
```



(4)
# CaH8Br2O12
Simulated X-ray powder pattern, CuKα. Input: DFT lattice parameters and positions (PBE).
No peak broadening, texture or thermal motion is included.

Largest 8 diffraction maxima, in order of falling intensity, 2θ = 15–90°:
- 23.6°, d = 3.764 Å, I = 100
- 18.7°, d = 4.736 Å, I = 93
- 29.8°, d = 3.002 Å, I = 90
- 22.8°, d = 3.907 Å, I = 77
- 28.2°, d = 3.159 Å, I = 71
- 16.2°, d = 5.474 Å, I = 69
- 22.4°, d = 3.971 Å, I = 69
- 19.7°, d = 4.502 Å, I = 69

Crystal structure
```
data_CaH8Br2O12
_chemical_formula_sum 'Ca2 H16 Br4 O24'
_space_group_name_H-M_alt 'P -1'
_space_group_IT_number 2
_cell_length_a 5.694
_cell_length_b 9.703
_cell_length_c 14.536
_cell_angle_alpha 107.46
_cell_angle_beta 97.08
_cell_angle_gamma 100.47
loop_
_space_group_symop_operation_xyz
'x,y,z'
'-x,-y,-z'
loop_
_atom_site_label
_atom_site_type_symbol
_atom_site_fract_x
_atom_site_fract_y
_atom_site_fract_z
Ca1 Ca 0.241 0.056 0.311
H1 H 0.044 0.237 0.700
H2 H 0.087 0.273 0.455
H3 H 0.156 0.268 0.050
H4 H 0.159 0.796 0.620
H5 H 0.167 0.444 0.253
H6 H 0.226 0.399 0.345
H7 H 0.341 0.425 0.098
H8 H 0.434 0.535 0.768
Br1 Br 0.133 0.555 0.877
Br2 Br 0.271 0.827 0.468
O1 O 0.034 0.234 0.383
O2 O 0.106 0.840 0.326
O3 O 0.116 0.088 0.156
O4 O 0.124 0.967 0.886
O5 O 0.184 0.371 0.050
O6 O 0.189 0.939 0.965
O7 O 0.304 0.435 0.298
O8 O 0.394 0.828 0.597
O9 O 0.400 0.490 0.819
O10 O 0.413 0.520 0.517
O11 O 0.425 0.763 0.117
O12 O 0.459 0.886 0.179
```



(5)
# CaH8Br2O12
Simulated X-ray powder pattern, CuKα. Input: DFT lattice parameters and positions (PBE).
No peak broadening, texture or thermal motion is included.

Largest 8 diffraction maxima, in order of falling intensity, 2θ = 15–90°:
- 27.3°, d = 3.268 Å, I = 100
- 19.0°, d = 4.672 Å, I = 72
- 23.2°, d = 3.829 Å, I = 69
- 26.4°, d = 3.371 Å, I = 49
- 24.6°, d = 3.622 Å, I = 47
- 17.2°, d = 5.145 Å, I = 44
- 22.0°, d = 4.031 Å, I = 40
- 19.2°, d = 4.626 Å, I = 33

Crystal structure
```
data_CaH8Br2O12
_chemical_formula_sum 'Ca2 H16 Br4 O24'
_space_group_name_H-M_alt 'P -1'
_space_group_IT_number 2
_cell_length_a 5.691
_cell_length_b 8.168
_cell_length_c 12.132
_cell_angle_alpha 80.84
_cell_angle_beta 89.75
_cell_angle_gamma 89.36
loop_
_space_group_symop_operation_xyz
'x,y,z'
'-x,-y,-z'
loop_
_atom_site_label
_atom_site_type_symbol
_atom_site_fract_x
_atom_site_fract_y
_atom_site_fract_z
Ca1 Ca 0.017 0.231 0.243
H1 H 0.178 0.512 0.626
H2 H 0.200 0.909 0.189
H3 H 0.289 0.675 0.567
H4 H 0.299 0.541 0.206
H5 H 0.306 0.813 0.944
H6 H 0.311 0.925 0.304
H7 H 0.394 0.944 0.844
H8 H 0.457 0.421 0.291
Br1 Br 0.161 0.321 0.916
Br2 Br 0.259 0.170 0.557
O1 O 0.057 0.301 0.589
O2 O 0.110 0.739 0.109
O3 O 0.165 0.526 0.892
O4 O 0.227 0.138 0.428
O5 O 0.235 0.254 0.046
O6 O 0.242 0.991 0.640
O7 O 0.243 0.617 0.641
O8 O 0.261 0.873 0.871
O9 O 0.264 0.991 0.232
O10 O 0.298 0.436 0.258
O11 O 0.354 0.248 0.834
O12 O 0.475 0.756 0.428
```



(6)
# CaZnH10Br4O5
Simulated X-ray powder pattern, CuKα. Input: DFT lattice parameters and positions (PBE).
No peak broadening, texture or thermal motion is included.

Largest 8 diffraction maxima, in order of falling intensity, 2θ = 15–90°:
- 19.4°, d = 4.585 Å, I = 100
- 25.3°, d = 3.523 Å, I = 60
- 19.7°, d = 4.507 Å, I = 57
- 23.1°, d = 3.854 Å, I = 39
- 26.9°, d = 3.314 Å, I = 37
- 23.3°, d = 3.810 Å, I = 34
- 28.3°, d = 3.157 Å, I = 34
- 29.1°, d = 3.071 Å, I = 34

Crystal structure
```
data_CaZnH10Br4O5
_chemical_formula_sum 'Ca2 Zn2 H20 Br8 O10'
_space_group_name_H-M_alt 'P -1'
_space_group_IT_number 2
_cell_length_a 8.433
_cell_length_b 9.679
_cell_length_c 10.772
_cell_angle_alpha 76.10
_cell_angle_beta 80.58
_cell_angle_gamma 72.00
loop_
_space_group_symop_operation_xyz
'x,y,z'
'-x,-y,-z'
loop_
_atom_site_label
_atom_site_type_symbol
_atom_site_fract_x
_atom_site_fract_y
_atom_site_fract_z
Ca1 Ca 0.071 0.122 0.245
Zn1 Zn 0.439 0.030 0.179
H1 H 0.081 0.658 0.563
H2 H 0.146 0.800 0.520
H3 H 0.153 0.342 0.660
H4 H 0.207 0.578 0.992
H5 H 0.208 0.991 0.629
H6 H 0.226 0.007 0.774
H7 H 0.271 0.879 0.119
H8 H 0.294 0.028 0.939
H9 H 0.327 0.295 0.211
H10 H 0.401 0.601 0.711
Br1 Br 0.063 0.688 0.035
Br2 Br 0.235 0.403 0.542
Br3 Br 0.329 0.919 0.419
Br4 Br 0.478 0.495 0.817
O1 O 0.068 0.754 0.584
O2 O 0.150 0.980 0.716
O3 O 0.258 0.984 0.107
O4 O 0.283 0.230 0.179
O5 O 0.328 0.046 0.845
```